Simulated powder XRD pattern
Compound: Na3CuNi2H8
Radiation: a wavelength of 1.5418 Å
Structure: the GGA-PBE geometry in Alexandria
Kinematic intensities with the Lorentz-polarization factor, no thermal factor.

Cell and atoms:
Lattice parameters (Å, degrees): 4.871 4.871 6.520 90.00 90.00 120.00
Sites, in units of the cell vectors:
Na1 0.000 0.000 0.000
Na2 0.333 0.667 0.653
Na3 0.667 0.333 0.347
Cu1 0.000 0.000 0.500
Ni1 0.333 0.667 0.210
Ni2 0.667 0.333 0.790
H1 0.168 0.336 0.341
H2 0.168 0.832 0.341
H3 0.333 0.667 0.974
H4 0.336 0.168 0.659
H5 0.664 0.832 0.341
H6 0.667 0.333 0.026
H7 0.832 0.168 0.659
H8 0.832 0.664 0.659

Main lines, sorted by position (2θ = 10–90°):
- 2θ = 25.14°, rel. 592
- 2θ = 34.78°, rel. 1000
- 2θ = 36.91°, rel. 955
- 2θ = 45.18°, rel. 99
- 2θ = 47.03°, rel. 117
- 2θ = 51.61°, rel. 323
- 2θ = 60.93°, rel. 110
- 2θ = 65.13°, rel. 286
- 2θ = 66.49°, rel. 148
- 2θ = 88.86°, rel. 113

=====

Simulated powder XRD pattern
Compound: Rb2CoPtBr6
Radiation: a wavelength of 1.5418 Å
Structure: the GGA-PBE geometry in Alexandria
Kinematic intensities with the Lorentz-polarization factor, no thermal factor.

Cell and atoms:
Lattice parameters (Å, degrees): 7.406 7.406 7.406 120.02 120.02 89.96
Sites, in units of the cell vectors:
Rb1 0.250 0.750 0.500
Rb2 0.750 0.250 0.500
Co1 0.000 0.000 0.000
Pt1 0.500 0.500 0.000
Br1 0.245 0.245 0.000
Br2 0.248 0.248 0.497
Br3 0.248 0.752 0.000
Br4 0.752 0.248 0.000
Br5 0.752 0.752 0.503
Br6 0.755 0.755 0.000

Main lines, sorted by position (2θ = 10–90°):
- 2θ = 14.65°, rel. 167
- 2θ = 16.93°, rel. 405
- 2θ = 24.04°, rel. 404
- 2θ = 29.55°, rel. 403
- 2θ = 34.25°, rel. 1000
- 2θ = 38.44°, rel. 206
- 2θ = 42.28°, rel. 182
- 2θ = 49.22°, rel. 702
- 2θ = 61.33°, rel. 239
- 2θ = 82.36°, rel. 314

=====

Simulated powder XRD pattern
Compound: Ca2TmPb9
Radiation: a wavelength of 1.5418 Å
Structure: the GGA-PBE geometry in Alexandria
Kinematic intensities with the Lorentz-polarization factor, no thermal factor.

Cell and atoms:
Lattice parameters (Å, degrees): 4.911 4.911 14.730 90.00 90.00 90.00
Sites, in units of the cell vectors:
Ca1 0.000 0.000 0.169
Ca2 0.000 0.000 0.831
Tm1 0.000 0.000 0.500
Pb1 0.000 0.500 0.000
Pb2 0.000 0.500 0.336
Pb3 0.000 0.500 0.664
Pb4 0.500 0.000 0.000
Pb5 0.500 0.000 0.336
Pb6 0.500 0.000 0.664
Pb7 0.500 0.500 0.168
Pb8 0.500 0.500 0.500
Pb9 0.500 0.500 0.832

Main lines, sorted by position (2θ = 10–90°):
- 2θ = 18.06°, rel. 80
- 2θ = 25.66°, rel. 73
- 2θ = 31.56°, rel. 1000
- 2θ = 36.60°, rel. 508
- 2θ = 52.72°, rel. 362
- 2θ = 62.76°, rel. 432
- 2θ = 65.89°, rel. 125
- 2θ = 77.80°, rel. 59
- 2θ = 86.36°, rel. 189
- 2θ = 89.19°, rel. 178

=====

Simulated powder XRD pattern
Compound: Ba2Hg2Bi3
Radiation: a wavelength of 1.5418 Å
Structure: the GGA-PBE geometry in Alexandria
Kinematic intensities with the Lorentz-polarization factor, no thermal factor.

Cell and atoms:
Lattice parameters (Å, degrees): 6.735 6.735 8.180 104.90 104.90 44.42
Sites, in units of the cell vectors:
Ba1 0.128 0.128 0.274
Ba2 0.872 0.872 0.726
Hg1 0.175 0.175 0.715
Hg2 0.825 0.825 0.285
Bi1 0.398 0.398 0.072
Bi2 0.500 0.500 0.500
Bi3 0.602 0.602 0.928

Main lines, sorted by position (2θ = 10–90°):
- 2θ = 28.01°, rel. 259
- 2θ = 28.19°, rel. 883
- 2θ = 28.40°, rel. 508
- 2θ = 30.48°, rel. 281
- 2θ = 31.26°, rel. 1000
- 2θ = 32.36°, rel. 360
- 2θ = 35.26°, rel. 557
- 2θ = 37.47°, rel. 268
- 2θ = 38.89°, rel. 287
- 2θ = 60.81°, rel. 355

=====

What is the formula in the first record? Na3CuNi2H8

=====

What is the formula in the second record? Rb2CoPtBr6

=====

Number 3 is which compound? Ca2TmPb9